This entry pairs a crystal structure of LaPm2Pr3Te6 with its calculated X-ray powder pattern. Radiation: CuKα. Structure: a structure optimized by DFT (GGA-PBE).
Intensities are scaled so that the largest is 100.

Cell and atoms:
```
data_LaPm2Pr3Te6
_chemical_formula_sum 'La2 Pm4 Pr6 Te12'
_cell_length_a 19.6817
_cell_length_b 4.5051
_cell_length_c 9.0751
_cell_angle_alpha 90.00
_cell_angle_beta 103.26
_cell_angle_gamma 90.00
_symmetry_space_group_name_H-M 'C 1 2/m 1'
_symmetry_Int_Tables_number 12
loop_
_symmetry_equiv_pos_as_xyz
'x,y,z'
'-x,-y,-z'
'-x,y,-z'
'x,-y,z'
'x+1/2,y+1/2,z'
'-x+1/2,-y+1/2,-z'
'-x+1/2,y+1/2,-z'
'x+1/2,-y+1/2,z'
loop_
_atom_site_label
_atom_site_type_symbol
_atom_site_fract_x
_atom_site_fract_y
_atom_site_fract_z
_atom_site_occupancy
La1 La 0.0000 0.0000 0.0000 1
Pm1 Pm 0.1676 0.5000 0.3339 1
Pr1 Pr 0.0000 0.0000 0.5000 1
Pr2 Pr 0.1653 0.5000 0.8308 1
Te1 Te 0.0024 0.5000 0.2525 1
Te2 Te 0.1680 0.0000 0.0866 1
Te3 Te 0.1676 0.0000 0.5796 1
```

Peak list (10 most intense, 2θ from 10° to 80°, in order of rising 2θ)
(6 0 0), 27.92°, d 3.196, I = 100.0
(2 0 -4), 39.73°, d 2.269, I = 12.9
(5 1 2), 39.91°, d 2.259, I = 50.9
(0 2 0), 40.03°, d 2.253, I = 12.7
(8 0 -4), 49.27°, d 1.849, I = 13.8
(6 2 0), 49.52°, d 1.841, I = 13.6
(2 2 -4), 57.70°, d 1.598, I = 12.9
(8 2 -4), 65.29°, d 1.429, I = 17.6
(9 1 -6), 72.23°, d 1.308, I = 8.7
(5 3 2), 72.61°, d 1.302, I = 12.9